Ti2MoPt: simulated PXRD pattern (Cu Ka), based on a crystal structure in the Materials Project, relaxed with GGA-PBE.
Peak positions follow from Bragg's law for the DFT cell and can differ from measured ones.

Crystal structure
Cell lengths 6.2950, 6.2950, 6.2950 Å; angles 90.00, 90.00, 90.00 degrees
Fractional coordinates of all 16 atoms:
Ti 0.2500 0.2500 0.2500
Ti 0.2500 0.2500 0.7500
Ti 0.2500 0.7500 0.2500
Ti 0.2500 0.7500 0.7500
Ti 0.7500 0.2500 0.2500
Ti 0.7500 0.2500 0.7500
Ti 0.7500 0.7500 0.2500
Ti 0.7500 0.7500 0.7500
Mo 0.0000 0.0000 0.0000
Mo 0.0000 0.5000 0.5000
Mo 0.5000 0.0000 0.5000
Mo 0.5000 0.5000 0.0000
Pt 0.0000 0.0000 0.5000
Pt 0.0000 0.5000 0.0000
Pt 0.5000 0.0000 0.0000
Pt 0.5000 0.5000 0.5000

Principal peaks in the range 10° ≤ 2θ ≤ 90°, in order of rising 2θ:
2θ/deg, I/Imax, (hkl)
24.49, 14, 1 1 1
28.36, 33, 2 0 0
40.53, 100, 2 2 0
50.20, 10, 2 2 2
58.66, 16, 4 0 0
66.42, 13, 4 2 0
73.73, 33, 4 2 2
87.70, 11, 4 4 0